Diffraction record for Co4SbO8. The powder diffraction line list is theoretical, not measured: it uses the PBE+U geometry in the Materials Project and copper Kα.
Lines closer than 0.1° are merged.

Cell lengths 5.9145, 5.9145, 5.8322 Å; angles 118.80, 118.80, 60.80 degrees
Atoms (fractional coordinates):
Co  0.0000  0.5000  0.0000
Co  0.1180  0.1180  0.3888
Co  0.5000  0.0000  0.0000
Co  0.8820  0.8820  0.6112
Sb  0.5000  0.5000  0.5000
O  0.2375  0.7170  0.2406
O  0.2440  0.2440  0.7939
O  0.2584  0.2584  0.2542
O  0.2830  0.7625  0.7594
O  0.7170  0.2375  0.2406
O  0.7416  0.7416  0.7458
O  0.7560  0.7560  0.2061
O  0.7625  0.2830  0.7594

Peak list (10 most intense, 2θ = 10–90°, sorted by position)
2θ/deg, Rel. int.
18.61, 95
21.27, 37
30.24, 78
35.14, 79
35.26, 100
35.71, 35
36.01, 37
43.32, 29
62.06, 52
62.88, 29

Diffraction record for Li4Ni3Sn2Sb3O16. The powder diffraction line list is theoretical, not measured: it uses the PBE+U geometry in the Materials Project and copper Kα.
Lines closer than 0.1° are merged.

Cell lengths 6.1683, 6.1683, 9.9113 Å; angles 90.29, 90.29, 60.36 degrees
Atoms (fractional coordinates):
Li  0.0000  0.0000  0.0000
Li  0.0055  0.0055  0.5193
Li  0.3397  0.3397  0.4257
Li  0.6768  0.6768  0.9002
Ni  0.1870  0.6762  0.7292
Ni  0.6762  0.1870  0.7292
Ni  0.8449  0.8449  0.2322
Sn  0.3605  0.3605  0.9934
Sn  0.6917  0.6917  0.5202
Sb  0.1858  0.1858  0.7312
Sb  0.3523  0.8462  0.2324
Sb  0.8462  0.3523  0.2324
O  0.0159  0.0159  0.3319
O  0.0217  0.0217  0.8200
O  0.0472  0.4870  0.8591
O  0.1776  0.1776  0.1197
O  0.1812  0.6949  0.1170
O  0.3390  0.8639  0.6113
O  0.3405  0.3405  0.6227
O  0.4870  0.0472  0.8591
O  0.5000  0.5000  0.8560
O  0.5267  0.9740  0.3568
O  0.5289  0.5289  0.3553
O  0.6774  0.6774  0.1220
O  0.6949  0.1812  0.1170
O  0.8552  0.8552  0.6149
O  0.8639  0.3390  0.6113
O  0.9740  0.5267  0.3568

Peak list (10 most intense, 2θ = 10–90°, sorted by position)
2θ/deg, Rel. int.
17.90, 38
18.83, 100
24.45, 32
31.82, 34
34.14, 41
34.33, 20
34.67, 46
43.44, 28
57.78, 20
59.99, 23

Diffraction record for Sr2TiMoO6. The powder diffraction line list is theoretical, not measured: it uses the PBE+U geometry in the Materials Project and copper Kα.
Lines closer than 0.1° are merged.

Cell lengths 5.6674, 5.6674, 5.6674 Å; angles 60.00, 60.00, 60.00 degrees
Atoms (fractional coordinates):
Sr  0.2500  0.2500  0.2500
Sr  0.7500  0.7500  0.7500
Ti  0.0000  0.0000  0.0000
Mo  0.5000  0.5000  0.5000
O  0.2453  0.2453  0.7547
O  0.2453  0.7547  0.2453
O  0.2453  0.7547  0.7547
O  0.7547  0.2453  0.2453
O  0.7547  0.2453  0.7547
O  0.7547  0.7547  0.2453

Peak list (10 most intense, 2θ = 10–90°, sorted by position)
2θ/deg, Rel. int.
19.18, 6
31.57, 100
37.21, 4
38.93, 7
45.26, 37
49.58, 2
56.23, 38
65.93, 22
74.94, 17
83.58, 7

Diffraction record for Li2VSi6O15. The powder diffraction line list is theoretical, not measured: it uses the PBE+U geometry in the Materials Project and copper Kα.
Lines closer than 0.1° are merged.

Cell lengths 7.2441, 7.2441, 14.9344 Å; angles 101.71, 101.71, 59.53 degrees
Atoms (fractional coordinates):
Li  0.1647  0.8353  0.5000
Li  0.3687  0.7080  0.8871
Li  0.7080  0.3687  0.3871
Li  0.8353  0.1647  0.0000
V  0.4240  0.9185  0.4337
V  0.9185  0.4240  0.9337
Si  0.0386  0.8662  0.2854
Si  0.1334  0.1979  0.2684
Si  0.1393  0.3111  0.5817
Si  0.1979  0.1334  0.7684
Si  0.2080  0.5896  0.0892
Si  0.3111  0.1393  0.0817
Si  0.5791  0.6729  0.0913
Si  0.5896  0.2080  0.5892
Si  0.6629  0.7801  0.7971
Si  0.6729  0.5791  0.5913
Si  0.7801  0.6629  0.2971
Si  0.8662  0.0386  0.7854
O  0.0188  0.6094  0.0064
O  0.0255  0.4550  0.3006
O  0.0619  0.3561  0.8317
O  0.1167  0.7293  0.1859
O  0.1252  0.9534  0.7771
O  0.1477  0.1813  0.6621
O  0.1524  0.1593  0.9869
O  0.1593  0.1524  0.4869
O  0.1813  0.1477  0.1621
O  0.2210  0.7916  0.3727
O  0.3350  0.3741  0.6067
O  0.3434  0.6815  0.0528
O  0.3561  0.0619  0.3317
O  0.3741  0.3350  0.1067
O  0.4550  0.0255  0.8006
O  0.4679  0.7518  0.5323
O  0.5396  0.9102  0.0774
O  0.6094  0.0188  0.5064
O  0.6387  0.6398  0.6996
O  0.6398  0.6387  0.1996
O  0.6560  0.6668  0.8782
O  0.6668  0.6560  0.3782
O  0.6815  0.3434  0.5528
O  0.7293  0.1167  0.6859
O  0.7518  0.4679  0.0323
O  0.7916  0.2210  0.8727
O  0.8205  0.8689  0.3035
O  0.8689  0.8205  0.8035
O  0.9102  0.5396  0.5774
O  0.9534  0.1252  0.2771

Peak list (10 most intense, 2θ = 10–90°, sorted by position)
2θ/deg, Rel. int.
14.49, 100
14.86, 74
17.68, 33
19.90, 50
21.92, 53
24.54, 29
24.64, 22
27.68, 24
29.21, 22
29.97, 21

Diffraction record for Mg2Fe9O13. The powder diffraction line list is theoretical, not measured: it uses the PBE+U geometry in the Materials Project and copper Kα.
Lines closer than 0.1° are merged.

Cell lengths 5.2867, 5.2867, 17.1200 Å; angles 98.28, 98.28, 32.75 degrees
Atoms (fractional coordinates):
Mg  0.2132  0.2132  0.2294
Mg  0.7868  0.7868  0.7706
Fe  0.0120  0.0120  0.6755
Fe  0.0640  0.0640  0.8680
Fe  0.2517  0.2517  0.5845
Fe  0.3509  0.3509  0.9558
Fe  0.5000  0.5000  0.5000
Fe  0.6491  0.6491  0.0442
Fe  0.7483  0.7483  0.4155
Fe  0.9360  0.9360  0.1320
Fe  0.9880  0.9880  0.3245
O  0.0000  0.0000  0.0000
O  0.1412  0.1412  0.4618
O  0.1473  0.1473  0.7712
O  0.2877  0.2877  0.0664
O  0.3641  0.3641  0.6869
O  0.3774  0.3774  0.3931
O  0.4088  0.4088  0.8535
O  0.5912  0.5912  0.1465
O  0.6226  0.6226  0.6069
O  0.6359  0.6359  0.3131
O  0.7123  0.7123  0.9336
O  0.8527  0.8527  0.2288
O  0.8588  0.8588  0.5382

Peak list (10 most intense, 2θ = 10–90°, sorted by position)
2θ/deg, Rel. int.
10.45, 38
34.08, 100
35.39, 27
40.90, 20
41.46, 25
42.14, 36
43.06, 21
44.06, 24
60.09, 26
72.94, 22

Diffraction record for SrLaFeCoO6. The powder diffraction line list is theoretical, not measured: it uses the PBE+U geometry in the Materials Project and copper Kα.
Lines closer than 0.1° are merged.

Cell lengths 5.4945, 5.4945, 9.5004 Å; angles 105.46, 105.46, 60.87 degrees
Atoms (fractional coordinates):
Sr  0.0000  0.0000  0.0000
Sr  0.5007  0.5007  0.5002
La  0.2512  0.2512  0.7518
La  0.7494  0.7494  0.2505
Fe  0.3753  0.3753  0.1264
Fe  0.8762  0.8762  0.6263
Co  0.1248  0.1248  0.3734
Co  0.6247  0.6247  0.8730
O  0.0048  0.4953  0.0009
O  0.0072  0.0072  0.4970
O  0.2449  0.2449  0.2545
O  0.2462  0.7508  0.7478
O  0.2505  0.7449  0.2481
O  0.4953  0.0048  0.0009
O  0.5041  0.5041  0.9945
O  0.5065  0.9964  0.5002
O  0.7449  0.2505  0.2481
O  0.7472  0.7472  0.7563
O  0.7508  0.2462  0.7478
O  0.9964  0.5065  0.5002

Peak list (10 most intense, 2θ = 10–90°, sorted by position)
2θ/deg, Rel. int.
32.13, 52
32.57, 100
40.02, 17
46.08, 36
47.37, 17
57.47, 10
57.60, 29
58.43, 14
68.15, 10
68.31, 10

Diffraction record for Li8VNi3P6O24. The powder diffraction line list is theoretical, not measured: it uses the PBE+U geometry in the Materials Project and copper Kα.
Lines closer than 0.1° are merged.

Cell lengths 8.5424, 8.5424, 8.5424 Å; angles 61.96, 61.96, 61.96 degrees
Atoms (fractional coordinates):
Li  0.0000  0.0000  0.0000
Li  0.1440  0.7917  0.3440
Li  0.1982  0.6592  0.8566
Li  0.3440  0.1440  0.7917
Li  0.4825  0.4825  0.4825
Li  0.6592  0.8566  0.1982
Li  0.7917  0.3440  0.1440
Li  0.8566  0.1982  0.6592
V  0.6445  0.6445  0.6445
Ni  0.1479  0.1479  0.1479
Ni  0.3539  0.3539  0.3539
Ni  0.8545  0.8545  0.8545
P  0.0468  0.4557  0.7522
P  0.2543  0.9533  0.5476
P  0.4557  0.7522  0.0468
P  0.5476  0.2543  0.9533
P  0.7522  0.0468  0.4557
P  0.9533  0.5476  0.2543
O  0.0230  0.2800  0.9284
O  0.0322  0.6188  0.7931
O  0.0783  0.9611  0.7265
O  0.1018  0.5040  0.3296
O  0.2190  0.9628  0.3819
O  0.2461  0.3975  0.6151
O  0.2800  0.9284  0.0230
O  0.3296  0.1018  0.5040
O  0.3819  0.2190  0.9628
O  0.3957  0.7476  0.6069
O  0.3975  0.6151  0.2461
O  0.5040  0.3296  0.1018
O  0.5171  0.6755  0.8865
O  0.6069  0.3957  0.7476
O  0.6151  0.2461  0.3975
O  0.6188  0.7931  0.0322
O  0.6755  0.8865  0.5171
O  0.7265  0.0783  0.9611
O  0.7476  0.6069  0.3957
O  0.7931  0.0322  0.6188
O  0.8865  0.5171  0.6755
O  0.9284  0.0230  0.2800
O  0.9611  0.7265  0.0783
O  0.9628  0.3819  0.2190

Peak list (10 most intense, 2θ = 10–90°, sorted by position)
2θ/deg, Rel. int.
14.46, 23
20.20, 31
20.82, 67
24.03, 100
29.16, 32
31.38, 21
33.09, 51
35.36, 31
49.21, 20
55.28, 20

Diffraction record for K2LiNiF6. The powder diffraction line list is theoretical, not measured: it uses the PBE+U geometry in the Materials Project and copper Kα.
Lines closer than 0.1° are merged.

Cell lengths 5.6732, 5.6732, 5.6732 Å; angles 60.00, 60.00, 60.00 degrees
Atoms (fractional coordinates):
K  0.2500  0.2500  0.2500
K  0.7500  0.7500  0.7500
Li  0.0000  0.0000  0.0000
Ni  0.5000  0.5000  0.5000
F  0.2619  0.2619  0.7381
F  0.2619  0.7381  0.2619
F  0.2619  0.7381  0.7381
F  0.7381  0.2619  0.2619
F  0.7381  0.2619  0.7381
F  0.7381  0.7381  0.2619

Peak list (10 most intense, 2θ = 10–90°, sorted by position)
2θ/deg, Rel. int.
19.16, 88
31.54, 100
37.17, 33
38.88, 45
45.21, 94
56.16, 35
59.91, 15
65.85, 49
74.85, 16
83.47, 15